1.
# Mg14MnBO16
Theoretical powder X-ray diffraction pattern, copper Kα. Input: DFT lattice parameters and positions (GGA+U).
Peak positions follow from Bragg's law for the DFT cell and can differ from measured ones.

Top 10 peaks for 2θ = 10–90°, by angle:
d_spacing, I_rel
8.496, 6
6.028, 5
2.457, 18
2.142, 52
2.121, 100
1.507, 57
1.500, 28
1.289, 4
1.280, 8
1.229, 25

Structure:
abc: 4.2430 8.4850 8.5661
angles: 90.00 90.00 90.00
Positions (direct):
Mg 0.0000 0.0000 0.0000
Mg 0.0000 0.2460 0.2506
Mg 0.0000 0.2460 0.7494
Mg 0.0000 0.5000 0.0000
Mg 0.0000 0.7540 0.2506
Mg 0.0000 0.7540 0.7494
Mg 0.5000 0.0000 0.2536
Mg 0.5000 0.0000 0.7464
Mg 0.5000 0.2430 0.5000
Mg 0.5000 0.2488 0.0000
Mg 0.5000 0.5000 0.2479
Mg 0.5000 0.5000 0.7521
Mg 0.5000 0.7512 0.0000
Mg 0.5000 0.7570 0.5000
Mn 0.0000 0.5000 0.5000
B 0.0000 0.0000 0.5000
O 0.0000 0.0000 0.2493
O 0.0000 0.0000 0.7507
O 0.0000 0.2338 0.5000
O 0.0000 0.2486 0.0000
O 0.0000 0.5000 0.2444
O 0.0000 0.5000 0.7556
O 0.0000 0.7514 0.0000
O 0.0000 0.7662 0.5000
O 0.5000 0.0000 0.0000
O 0.5000 0.0000 0.5000
O 0.5000 0.2499 0.2517
O 0.5000 0.2499 0.7483
O 0.5000 0.5000 0.0000
O 0.5000 0.5000 0.5000
O 0.5000 0.7501 0.2517
O 0.5000 0.7501 0.7483

---

2.
# MgMn2B8O14
Theoretical powder X-ray diffraction pattern, copper Kα. Input: DFT lattice parameters and positions (GGA+U).
Peak positions follow from Bragg's law for the DFT cell and can differ from measured ones.

Top 10 peaks for 2θ = 10–90°, by angle:
d_spacing, I_rel
8.679, 100
4.423, 10
4.340, 23
3.054, 9
2.893, 8
2.712, 7
2.576, 10
2.357, 7
2.036, 6
1.937, 8

Structure:
abc: 6.3918 5.1504 9.0827
angles: 90.00 107.14 90.00
Positions (direct):
Mg 0.0000 0.0000 0.0000
Mn 0.3722 0.5000 0.2626
Mn 0.9140 0.0000 0.6664
B 0.2359 0.0000 0.3351
B 0.3627 0.2393 0.5904
B 0.3627 0.7607 0.5904
B 0.5268 0.0000 0.2082
B 0.7057 0.5000 0.6775
B 0.8728 0.2651 0.3057
B 0.8728 0.7349 0.3057
B 0.9980 0.5000 0.5588
O 0.2510 0.5000 0.6166
O 0.2833 0.0000 0.6433
O 0.2977 0.0000 0.1828
O 0.3208 0.2282 0.4184
O 0.3208 0.7718 0.4184
O 0.5995 0.2679 0.6617
O 0.5995 0.7321 0.6617
O 0.6296 0.2332 0.2250
O 0.6296 0.7668 0.2250
O 0.9108 0.2691 0.4698
O 0.9108 0.7309 0.4698
O 0.9310 0.5000 0.7009
O 0.9476 0.5000 0.2456
O 0.9800 0.0000 0.2665

---

3.
# MgMn2B8O14
Theoretical powder X-ray diffraction pattern, copper Kα. Input: DFT lattice parameters and positions (GGA+U).
Peak positions follow from Bragg's law for the DFT cell and can differ from measured ones.

Top 10 peaks for 2θ = 10–90°, by angle:
d_spacing, I_rel
2.979, 82
2.788, 100
2.397, 31
2.371, 52
2.104, 34
1.986, 56
1.967, 26
1.910, 62
1.727, 40
1.179, 26

Structure:
abc: 5.2366 6.6046 6.6046
angles: 115.55 90.00 90.00
Positions (direct):
Mg 0.0000 0.0000 0.0000
Mn 0.0000 0.3439 0.3439
Mn 0.5000 0.7638 0.7638
B 0.0000 0.6000 0.8532
B 0.0000 0.8532 0.6000
B 0.2580 0.2358 0.8046
B 0.2580 0.8046 0.2358
B 0.5000 0.1756 0.4077
B 0.5000 0.4077 0.1756
B 0.7420 0.2358 0.8046
B 0.7420 0.8046 0.2358
O 0.0000 0.3435 0.7577
O 0.0000 0.6530 0.6530
O 0.0000 0.7577 0.3435
O 0.2206 0.7130 0.9909
O 0.2206 0.9909 0.7130
O 0.2724 0.0469 0.3318
O 0.2724 0.3318 0.0469
O 0.5000 0.2788 0.7001
O 0.5000 0.3840 0.3840
O 0.5000 0.7001 0.2788
O 0.7276 0.0469 0.3318
O 0.7276 0.3318 0.0469
O 0.7794 0.7130 0.9909
O 0.7794 0.9909 0.7130

---

4.
# Mg3Mn3B2O10
Theoretical powder X-ray diffraction pattern, copper Kα. Input: DFT lattice parameters and positions (GGA+U).
Peak positions follow from Bragg's law for the DFT cell and can differ from measured ones.

Top 10 peaks for 2θ = 10–90°, by angle:
d_spacing, I_rel
5.442, 19
5.118, 46
2.721, 47
2.556, 100
2.201, 14
2.036, 40
2.031, 19
1.643, 19
1.571, 28
1.522, 18

Structure:
abc: 5.5082 6.0887 10.9473
angles: 90.00 96.18 90.00
Positions (direct):
Mg 0.0000 0.0000 0.0000
Mg 0.0000 0.5000 0.0000
Mg 0.2052 0.2500 0.7741
Mg 0.4964 0.2500 0.5006
Mg 0.5036 0.7500 0.4994
Mg 0.7948 0.7500 0.2259
Mn 0.0000 0.0000 0.5000
Mn 0.0000 0.5000 0.5000
Mn 0.2029 0.7500 0.7716
Mn 0.5000 0.0000 0.0000
Mn 0.5000 0.5000 0.0000
Mn 0.7971 0.2500 0.2284
B 0.3019 0.5040 0.2639
B 0.3019 0.9960 0.2639
B 0.6981 0.0040 0.7361
B 0.6981 0.4960 0.7361
O 0.0698 0.5063 0.1976
O 0.0698 0.9937 0.1976
O 0.1736 0.2500 0.5880
O 0.1790 0.7500 0.5879
O 0.2502 0.7500 0.9672
O 0.2506 0.2500 0.9716
O 0.3270 0.9998 0.3910
O 0.3270 0.5002 0.3910
O 0.4884 0.0066 0.7974
O 0.4884 0.4934 0.7974
O 0.5116 0.5066 0.2026
O 0.5116 0.9934 0.2026
O 0.6730 0.0002 0.6090
O 0.6730 0.4998 0.6090
O 0.7494 0.7500 0.0284
O 0.7498 0.2500 0.0328
O 0.8210 0.2500 0.4121
O 0.8264 0.7500 0.4120
O 0.9302 0.0063 0.8024
O 0.9302 0.4937 0.8024

---

5.
# Mg14BWO16
Theoretical powder X-ray diffraction pattern, copper Kα. Input: DFT lattice parameters and positions (GGA+U).
Peak positions follow from Bragg's law for the DFT cell and can differ from measured ones.

Top 10 peaks for 2θ = 10–90°, by angle:
d_spacing, I_rel
8.696, 98
8.611, 64
6.119, 100
3.850, 74
3.509, 66
2.490, 64
2.174, 85
2.153, 83
2.142, 82
1.530, 48

Structure:
abc: 4.2835 8.6106 8.6959
angles: 90.00 90.00 90.00
Positions (direct):
Mg 0.0000 0.0000 0.0000
Mg 0.0000 0.0000 0.5000
Mg 0.0000 0.2494 0.2401
Mg 0.0000 0.2494 0.7599
Mg 0.0000 0.7506 0.2401
Mg 0.0000 0.7506 0.7599
Mg 0.5000 0.0000 0.2470
Mg 0.5000 0.0000 0.7530
Mg 0.5000 0.2431 0.5000
Mg 0.5000 0.2529 0.0000
Mg 0.5000 0.5000 0.2345
Mg 0.5000 0.5000 0.7655
Mg 0.5000 0.7471 0.0000
Mg 0.5000 0.7569 0.5000
B 0.0000 0.5000 0.0000
W 0.0000 0.5000 0.5000
O 0.0000 0.0000 0.2545
O 0.0000 0.0000 0.7455
O 0.0000 0.2327 0.0000
O 0.0000 0.2463 0.5000
O 0.0000 0.5000 0.2559
O 0.0000 0.5000 0.7441
O 0.0000 0.7537 0.5000
O 0.0000 0.7673 0.0000
O 0.5000 0.0000 0.0000
O 0.5000 0.0000 0.5000
O 0.5000 0.2520 0.2513
O 0.5000 0.2520 0.7487
O 0.5000 0.5000 0.0000
O 0.5000 0.5000 0.5000
O 0.5000 0.7480 0.2513
O 0.5000 0.7480 0.7487

---

6.
# Mg14BWO16
Theoretical powder X-ray diffraction pattern, copper Kα. Input: DFT lattice parameters and positions (GGA+U).
Peak positions follow from Bragg's law for the DFT cell and can differ from measured ones.

Top 10 peaks for 2θ = 10–90°, by angle:
d_spacing, I_rel
8.646, 100
6.114, 29
3.867, 39
3.841, 38
2.871, 42
2.489, 32
2.162, 84
2.143, 42
1.528, 24
1.522, 48

Structure:
abc: 8.6465 8.6465 4.2868
angles: 90.00 90.00 90.00
Positions (direct):
Mg 0.0000 0.2439 0.0000
Mg 0.0000 0.5000 0.5000
Mg 0.0000 0.7561 0.0000
Mg 0.2393 0.5000 0.0000
Mg 0.2403 0.2403 0.5000
Mg 0.2403 0.7597 0.5000
Mg 0.2439 0.0000 0.0000
Mg 0.5000 0.0000 0.5000
Mg 0.5000 0.2393 0.0000
Mg 0.5000 0.7607 0.0000
Mg 0.7561 0.0000 0.0000
Mg 0.7597 0.2403 0.5000
Mg 0.7597 0.7597 0.5000
Mg 0.7607 0.5000 0.0000
B 0.0000 0.0000 0.5000
W 0.5000 0.5000 0.5000
O 0.0000 0.0000 0.0000
O 0.0000 0.2674 0.5000
O 0.0000 0.5000 0.0000
O 0.0000 0.7326 0.5000
O 0.2489 0.5000 0.5000
O 0.2510 0.2510 0.0000
O 0.2510 0.7490 0.0000
O 0.2674 0.0000 0.5000
O 0.5000 0.0000 0.0000
O 0.5000 0.2489 0.5000
O 0.5000 0.5000 0.0000
O 0.5000 0.7511 0.5000
O 0.7326 0.0000 0.5000
O 0.7490 0.2510 0.0000
O 0.7490 0.7490 0.0000
O 0.7511 0.5000 0.5000

---

7.
# Na4Mn3BO8
Theoretical powder X-ray diffraction pattern, copper Kα. Input: DFT lattice parameters and positions (GGA+U).
Peak positions follow from Bragg's law for the DFT cell and can differ from measured ones.

Top 10 peaks for 2θ = 10–90°, by angle:
d_spacing, I_rel
5.382, 72
2.690, 26
2.628, 24
2.401, 22
2.391, 86
2.096, 100
1.599, 14
1.590, 36
1.563, 32
1.200, 13

Structure:
abc: 5.5921 5.5921 11.3698
angles: 96.34 96.34 28.74
Positions (direct):
Na 0.2492 0.2492 0.3804
Na 0.2505 0.2505 0.8728
Na 0.7495 0.7495 0.1272
Na 0.7508 0.7508 0.6196
Mn 0.0000 0.0000 0.0000
Mn 0.4991 0.4991 0.7405
Mn 0.5009 0.5009 0.2595
B 0.0000 0.0000 0.5000
O 0.1042 0.1042 0.6876
O 0.1050 0.1050 0.2054
O 0.3944 0.3944 0.0518
O 0.4124 0.4124 0.5419
O 0.5876 0.5876 0.4581
O 0.6056 0.6056 0.9482
O 0.8950 0.8950 0.7946
O 0.8958 0.8958 0.3124

---

8.
# Na3MnB2O6
Theoretical powder X-ray diffraction pattern, copper Kα. Input: DFT lattice parameters and positions (GGA+U).
Peak positions follow from Bragg's law for the DFT cell and can differ from measured ones.

Top 10 peaks for 2θ = 10–90°, by angle:
d_spacing, I_rel
5.080, 30
4.840, 29
4.542, 35
4.243, 36
2.792, 71
2.779, 28
2.571, 100
2.540, 33
2.358, 26
1.819, 25

Structure:
abc: 5.5796 9.6866 11.2977
angles: 90.00 114.44 90.00
Positions (direct):
Na 0.0154 0.0317 0.3576
Na 0.0154 0.4683 0.8576
Na 0.0406 0.1557 0.8739
Na 0.0406 0.3443 0.3739
Na 0.4323 0.5126 0.6188
Na 0.4323 0.9874 0.1188
Na 0.5677 0.0126 0.8812
Na 0.5677 0.4874 0.3812
Na 0.9594 0.6557 0.6261
Na 0.9594 0.8443 0.1261
Na 0.9846 0.5317 0.1424
Na 0.9846 0.9683 0.6424
Mn 0.4890 0.1953 0.6257
Mn 0.4890 0.3047 0.1257
Mn 0.5110 0.6953 0.8743
Mn 0.5110 0.8047 0.3743
B 0.0519 0.6896 0.3817
B 0.0519 0.8104 0.8817
B 0.4728 0.6521 0.1323
B 0.4728 0.8479 0.6323
B 0.5272 0.1521 0.3677
B 0.5272 0.3479 0.8677
B 0.9481 0.1896 0.1183
B 0.9481 0.3104 0.6183
O 0.1435 0.6861 0.8515
O 0.1435 0.8139 0.3515
O 0.1722 0.1944 0.0932
O 0.1722 0.3056 0.5932
O 0.1778 0.5673 0.3866
O 0.1778 0.9327 0.8866
O 0.3734 0.1846 0.4356
O 0.3734 0.3154 0.9356
O 0.3927 0.7353 0.6870
O 0.3927 0.7647 0.1870
O 0.4052 0.5195 0.1484
O 0.4052 0.9805 0.6484
O 0.5948 0.0195 0.3516
O 0.5948 0.4805 0.8516
O 0.6073 0.2353 0.8130
O 0.6073 0.2647 0.3130
O 0.6266 0.6846 0.0644
O 0.6266 0.8154 0.5644
O 0.8222 0.0673 0.1134
O 0.8222 0.4327 0.6134
O 0.8278 0.6944 0.4068
O 0.8278 0.8056 0.9068
O 0.8565 0.1861 0.6485
O 0.8565 0.3139 0.1485